Structure and calculated X-ray diffraction stick pattern of SrAg2Sn2 (a crystal structure in the Materials Project, relaxed with GGA-PBE; Cu Kα (λ = 1.5418 Å)).

Atomic structure:
Cell lengths 6.7336, 6.7336, 6.7336 Å; angles 138.54, 138.54, 60.08 degrees
Fractional coordinates of all 5 atoms:
Sr  0.0000  0.0000  0.0000
Ag  0.2500  0.7500  0.5000
Ag  0.7500  0.2500  0.5000
Sn  0.3777  0.3777  0.0000
Sn  0.6223  0.6223  0.0000

The 10 most intense peaks (15 to 90 degrees two-theta), sorted by position:
- 2θ 29.66, d 3.012, rel. 65
- 2θ 30.64, d 2.918, rel. 100
- 2θ 37.74, d 2.383, rel. 84
- 2θ 40.93, d 2.205, rel. 69
- 2θ 43.18, d 2.095, rel. 34
- 2θ 48.72, d 1.869, rel. 33
- 2θ 54.47, d 1.685, rel. 43
- 2θ 58.68, d 1.573, rel. 25
- 2θ 63.77, d 1.459, rel. 23
- 2θ 70.31, d 1.339, rel. 26